For Mg3SiPd3, a crystal structure in Alexandria, relaxed with GGA-PBE gives the simulated powder diffraction line list in this record (Cu Kα, 1.54184 Å).
Lines closer than 0.1° are merged.

Structure:
```
Mg3SiPd3
1.0
3.904 -4.140 0.000
3.904 4.140 0.000
-0.119 0.000 7.448
Mg Si Pd
6 2 6
Direct
0.174 0.826 0.000
0.274 0.726 0.500
0.356 0.356 0.140
0.644 0.644 0.860
0.726 0.274 0.500
0.826 0.174 0.000
0.244 0.244 0.546
0.756 0.756 0.454
0.043 0.043 0.306
0.099 0.457 0.795
0.457 0.099 0.795
0.543 0.901 0.205
0.901 0.543 0.205
0.957 0.957 0.694
```

Peak list (6 most intense, 2θ = 10–80°, low angle first)
2θ = 15.6°, I 58.4; 2θ = 23.9°, I 60.8; 2θ = 36.6°, I 100.0; 2θ = 39.7°, I 88.7; 2θ = 42.5°, I 61.6; 2θ = 43.5°, I 46.5